Simulated powder XRD pattern
Compound: PuAl4Re
Radiation: Cu Kα
Structure: DFT lattice parameters and positions (PBE)

Main lines, sorted by position (10 to 90 degrees two-theta):
two_theta  Rel. int.
21.22  100
22.85  92
28.69  56
31.38  95
34.11  35
35.96  91
41.36  38
41.55  30
43.22  36
47.12  30

Cell and atoms:
Cell lengths 7.783, 4.186, 6.790 Å; angles 90.00, 90.00, 90.00 degrees
Space group Pmma (No. 51)
Asymmetric unit:
Pu  0.250  0.000  0.130 [2 per cell]
Al  0.000  0.000  0.500 [2 per cell]
Al  0.062  0.500  0.812 [4 per cell]
Al  0.250  0.500  0.460 [2 per cell]
Re  0.250  0.000  0.719 [2 per cell]

Simulated powder XRD pattern
Compound: Pu2AlRe3
Radiation: Cu Kα
Structure: DFT lattice parameters and positions (PBE)

Main lines, sorted by position (10 to 90 degrees two-theta):
two_theta  Rel. int.
32.78  88
33.65  20
38.49  46
39.26  78
39.63  100
41.31  28
59.57  22
62.61  25
68.65  20
70.80  18

Cell and atoms:
Cell lengths 9.214, 5.335, 5.462 Å; angles 90.00, 124.12, 90.00 degrees
Space group C2/m (No. 12)
Asymmetric unit:
Pu  0.123  0.000  0.370 [4 per cell]
Al  0.000  0.500  0.500 [2 per cell]
Re  0.000  0.500  0.000 [2 per cell]
Re  0.250  0.250  0.000 [4 per cell]